For CaTiMnP3O12, the GGA+U geometry in Alexandria gives the calculated X-ray powder pattern in this record (Cu Kα).
Neutral-atom scattering factors, no anomalous dispersion.

Structural model:
a b c (Å): 8.6789 8.6789 8.9696
angles (deg): 120.17 120.17 59.52
Positions (direct):
Ca 0.2476 0.7524 0.5000
Ca 0.7524 0.2476 0.0000
Ti 0.1022 0.6055 0.0523
Ti 0.6055 0.1022 0.5523
Mn 0.3915 0.9001 0.9351
Mn 0.9001 0.3915 0.4351
P 0.0008 0.2065 0.7468
P 0.2065 0.0008 0.2468
P 0.2907 0.4995 0.7450
P 0.4995 0.2907 0.2450
P 0.7106 0.7853 0.7332
P 0.7853 0.7106 0.2332
O 0.0179 0.1696 0.2581
O 0.0480 0.3770 0.9205
O 0.1289 0.4563 0.5685
O 0.1696 0.0179 0.7581
O 0.1948 0.8283 0.2486
O 0.2252 0.9621 0.0720
O 0.2519 0.5450 0.9181
O 0.3145 0.6675 0.7507
O 0.3276 0.4793 0.2461
O 0.3770 0.0480 0.4205
O 0.4563 0.1289 0.0685
O 0.4793 0.3276 0.7461
O 0.5224 0.8103 0.7311
O 0.5450 0.2519 0.4181
O 0.6219 0.7466 0.0604
O 0.6675 0.3145 0.2507
O 0.7010 0.9719 0.7374
O 0.7466 0.6219 0.5604
O 0.7470 0.8779 0.4102
O 0.8103 0.5224 0.2311
O 0.8283 0.1948 0.7486
O 0.8779 0.7470 0.9102
O 0.9621 0.2252 0.5720
O 0.9719 0.7010 0.2374

Peak list (10 most intense, 2θ from 10° to 90°, most intense first)
d = 3.705 Å, I 100
d = 4.338 Å, I 57
d = 3.765 Å, I 54
d = 2.825 Å, I 42
d = 2.788 Å, I 33
d = 2.769 Å, I 30
d = 4.308 Å, I 26
d = 2.493 Å, I 25
d = 3.107 Å, I 16
d = 1.849 Å, I 15